Entry 1:
# Fe10O11F9
Simulated X-ray powder pattern, Cu Kα (weighted mean of Kα1 and Kα2). Input: a crystal structure in the Materials Project, relaxed with GGA+U.
No peak broadening, texture or thermal motion is included.

The 8 most intense peaks (2θ = 10–80°), by angle:
h k l, 2θ/deg, I (rel.)
1 0 -1, 25.63, 100
1 0 1, 27.43, 91
0 5 1, 34.86, 98
1 5 -1, 39.21, 18
1 5 -2, 51.40, 61
1 5 2, 53.43, 50
0 10 0, 60.46, 19
0 5 3, 66.43, 21

Crystal structure
```
Fe10O11F9
1.0
4.7556 0.0000 0.0000
0.0000 15.3122 0.0000
-0.3168 0.0000 4.7541
Fe O F
10 11 9
Cartesian
0.0000 0.0000 0.0000
1.8171 1.5151 2.4221
1.8171 13.7971 2.4221
1.9957 4.5010 2.4988
1.9957 10.8112 2.4988
2.0207 7.6561 2.4389
4.5360 6.1302 0.0825
4.5360 9.1820 0.0825
4.4257 3.1730 4.7232
4.4257 12.1392 4.7232
0.6250 1.5794 0.9141
0.6250 13.7328 0.9141
0.6641 7.6561 1.0224
0.6947 4.6966 1.0169
0.6947 10.6156 1.0169
1.0048 0.0000 3.3162
1.0510 3.0719 3.3382
1.0510 12.2403 3.3382
3.3503 7.6561 3.8894
3.3778 4.6636 3.8874
3.3778 10.6486 3.8874
1.0506 6.1457 3.3717
1.0506 9.1664 3.3717
2.9700 0.0000 1.4910
2.9837 6.1185 1.5465
2.9837 9.1936 1.5465
2.9986 3.0460 1.5156
2.9986 12.2662 1.5156
3.3450 1.5271 3.8179
3.3450 13.7851 3.8179
```

***

Entry 2:
# Fe5O8F2
Simulated X-ray powder pattern, Cu Kα (weighted mean of Kα1 and Kα2). Input: a crystal structure in the Materials Project, relaxed with GGA+U.
No peak broadening, texture or thermal motion is included.

The 8 most intense peaks (2θ = 10–80°), by angle:
h k l, 2θ/deg, I (rel.)
1 0 -1, 26.75, 96
1 0 1, 27.52, 94
0 5 1, 35.50, 100
2 0 0, 38.76, 19
2 5 -1, 53.12, 56
2 5 1, 54.00, 55
0 5 3, 68.04, 19
3 5 0, 68.07, 19

Crystal structure
```
Fe5O8F2
1.0
4.6473 0.0000 0.0000
0.0000 15.0727 0.0000
-0.1299 0.0000 4.6480
Fe O F
10 16 4
Cartesian
0.0000 0.0000 0.0000
-0.0524 5.9652 4.5253
-0.0524 9.1075 4.5253
0.1046 2.9952 4.4142
0.1046 12.0776 4.4142
2.3356 4.5924 2.2300
2.3356 10.4804 2.2300
2.3789 1.5219 2.2045
2.3789 13.5509 2.2045
2.4435 7.5364 2.3223
0.9876 1.5043 0.7752
0.9876 13.5684 0.7752
1.0050 4.4876 0.7540
1.0050 10.5852 0.7540
1.4527 6.0863 3.1490
1.4527 8.9864 3.1490
1.5080 3.0223 3.0364
1.5080 12.0505 3.0364
3.2241 0.0000 1.3835
3.2889 6.0541 1.3494
3.2889 9.0186 1.3494
3.7666 1.5035 3.6357
3.7666 13.5692 3.6357
3.7742 4.4546 3.5923
3.7742 10.6182 3.5923
3.7941 7.5364 3.7261
1.0063 7.5364 0.8505
1.3971 0.0000 3.1637
3.3513 3.0197 1.2440
3.3513 12.0530 1.2440
```

***

Entry 3:
# Fe4OF7
Simulated X-ray powder pattern, Cu Kα (weighted mean of Kα1 and Kα2). Input: a crystal structure in the Materials Project, relaxed with GGA+U.
No peak broadening, texture or thermal motion is included.

The 8 most intense peaks (2θ = 10–80°), by angle:
h k l, 2θ/deg, I (rel.)
1 2 -1, 26.32, 100
0 0 2, 33.51, 41
2 0 0, 33.58, 13
0 2 2, 38.57, 20
1 2 -3, 51.16, 31
2 4 0, 51.27, 33
2 4 -2, 54.17, 19
1 6 1, 65.19, 17

Crystal structure
```
Fe4OF7
1.0
5.7626 0.0000 0.0000
0.0000 9.5797 0.0000
-2.1785 0.0000 5.3538
Fe O F
8 2 14
Cartesian
0.0000 1.1563 0.0000
-1.0892 8.4234 2.6769
1.8473 1.2403 2.5935
0.7581 8.3394 5.2704
2.8637 3.5072 0.1332
1.7745 6.0725 2.8101
4.5949 3.4928 2.6234
3.5057 6.0869 5.3003
2.9638 2.6621 1.7570
1.8746 6.9176 4.4339
0.1544 2.1081 1.8536
-0.9348 7.4716 4.5305
-0.9375 2.6740 4.6235
0.1518 6.9058 1.9467
0.5681 4.5019 3.5199
1.6573 5.0778 0.8430
1.7143 0.1961 0.7763
0.6251 9.3836 3.4532
1.8846 2.2070 4.4853
2.9738 7.3727 1.8084
4.5091 4.5054 0.6805
3.4199 5.0743 3.3574
3.4551 0.2695 3.4432
4.5444 9.3102 0.7663
```

***

Entry 4:
# Fe6O7F5
Simulated X-ray powder pattern, Cu Kα (weighted mean of Kα1 and Kα2). Input: a crystal structure in the Materials Project, relaxed with GGA+U.
No peak broadening, texture or thermal motion is included.

The 8 most intense peaks (2θ = 10–80°), by angle:
h k l, 2θ/deg, I (rel.)
1 1 1, 25.52, 100
-1 1 1, 27.42, 93
1 1 -2, 34.87, 23
0 0 3, 35.04, 48
1 -1 2, 35.10, 24
1 1 4, 51.56, 30
-1 1 4, 53.59, 39
0 4 1, 66.54, 19

Crystal structure
```
Fe6O7F5
1.0
4.7828 0.0000 0.0000
0.3572 5.6448 0.0000
0.2922 0.7096 7.6757
Fe O F
6 7 5
Cartesian
0.0000 0.0000 0.0000
0.3223 2.2274 5.0518
0.5318 4.0273 2.5093
2.4379 1.0180 2.4567
3.0004 3.3963 7.6246
3.2400 5.2390 5.0548
1.3885 5.4864 1.6346
1.7696 2.6928 1.7395
1.7530 1.0832 4.2448
3.4504 1.1183 0.8035
3.8393 3.5338 5.8603
3.8617 5.2147 3.2102
4.2272 0.7361 5.9209
1.3819 3.8883 4.3220
1.3997 2.2723 6.8497
2.0784 5.0862 6.8428
4.2134 3.9362 0.6970
4.2380 2.4409 3.2720
```